For CaZn3Pd2, a crystal structure in Alexandria, relaxed with PBE gives the computed powder XRD pattern in this record (a wavelength of 1.5418 Å).
Kinematic intensities with the Lorentz-polarization factor, no thermal factor.

Atomic structure:
```
12
Lattice="4.725 -4.186 0.000 4.725 4.186 0.000 0.000 0.000 5.618" Properties=species:S:1:pos:R:3 pbc="T T T"
Ca 4.725 2.914 4.213
Ca 4.725 -2.914 1.404
Zn 3.053 2.239 1.404
Zn 6.397 2.239 1.404
Zn 4.725 0.268 1.404
Zn 4.725 -0.268 4.213
Zn 3.053 -2.239 4.213
Zn 6.397 -2.239 4.213
Pd 2.562 0.000 0.000
Pd 2.562 0.000 2.809
Pd 6.888 0.000 0.000
Pd 6.888 0.000 2.809
```

Top 10 peaks for 2θ from 15° to 90°, by angle:
18.8 deg, intensity 47
21.2 deg, intensity 25
34.4 deg, intensity 32
37.2 deg, intensity 29
38.1 deg, intensity 16
38.6 deg, intensity 42
43.3 deg, intensity 100
44.0 deg, intensity 24
47.5 deg, intensity 18
58.4 deg, intensity 18

For Na3IrRh2S6, a crystal structure in Alexandria, relaxed with PBE gives the computed powder XRD pattern in this record (a wavelength of 1.5418 Å).
Kinematic intensities with the Lorentz-polarization factor, no thermal factor.

Atomic structure:
```
12
Lattice="3.170 -5.490 0.000 3.170 5.490 0.000 -2.113 0.000 6.234" Properties=species:S:1:pos:R:3 pbc="T T T"
Na 0.000 0.000 0.000
Na 3.170 1.836 0.000
Na 3.170 -1.836 0.000
Ir 2.113 0.000 3.117
Rh 2.113 3.660 3.117
Rh 2.113 -3.660 3.117
S 1.059 1.825 1.949
S 0.006 0.000 4.286
S 1.059 -1.825 1.949
S 3.167 1.825 4.285
S 4.220 0.000 1.948
S 3.167 -1.825 4.285
```

Top 10 peaks for 2θ from 15° to 90°, by angle:
28.6 deg, intensity 48
29.8 deg, intensity 27
34.2 deg, intensity 100
44.3 deg, intensity 26
48.4 deg, intensity 29
49.8 deg, intensity 36
52.1 deg, intensity 23
58.5 deg, intensity 17
61.8 deg, intensity 17
83.3 deg, intensity 14

For PrMg2Au3, a crystal structure in Alexandria, relaxed with PBE gives the computed powder XRD pattern in this record (a wavelength of 1.5418 Å).
Kinematic intensities with the Lorentz-polarization factor, no thermal factor.

Atomic structure:
```
12
Lattice="4.717 0.000 0.000 -2.359 4.085 0.000 0.000 0.000 13.392" Properties=species:S:1:pos:R:3 pbc="T T T"
Pr 0.000 0.000 3.348
Pr 0.000 0.000 10.044
Mg 0.000 2.723 0.952
Mg 0.000 2.723 5.744
Mg 2.359 1.362 7.648
Mg 2.359 1.362 12.441
Au 0.000 0.000 0.000
Au 0.000 0.000 6.696
Au 0.000 2.723 8.499
Au 0.000 2.723 11.589
Au 2.359 1.362 1.803
Au 2.359 1.362 4.893
```

Top 10 peaks for 2θ from 15° to 90°, by angle:
22.8 deg, intensity 55
29.6 deg, intensity 12
34.6 deg, intensity 100
38.2 deg, intensity 83
40.3 deg, intensity 26
52.5 deg, intensity 31
66.7 deg, intensity 30
68.8 deg, intensity 20
69.0 deg, intensity 15
70.4 deg, intensity 11

For CsZnH6Pt, a crystal structure in Alexandria, relaxed with PBE gives the computed powder XRD pattern in this record (a wavelength of 1.5418 Å).
Kinematic intensities with the Lorentz-polarization factor, no thermal factor.

Atomic structure:
```
9
Lattice="4.734 0.000 0.000 -2.367 4.100 0.000 0.000 0.000 6.391" Properties=species:S:1:pos:R:3 pbc="T T T"
Cs 0.000 0.000 0.000
Zn 0.000 2.733 3.196
H 1.878 0.110 4.248
H 1.034 1.571 2.143
H 2.856 0.110 2.143
H 1.523 2.419 4.248
H 3.700 1.571 4.248
H 3.211 2.419 2.143
Pt 2.367 1.367 3.196
```

Top 10 peaks for 2θ from 15° to 90°, by angle:
21.7 deg, intensity 10
25.8 deg, intensity 100
27.9 deg, intensity 26
38.0 deg, intensity 34
46.5 deg, intensity 20
47.8 deg, intensity 37
48.1 deg, intensity 18
61.6 deg, intensity 18
71.2 deg, intensity 11
75.9 deg, intensity 10

Please write out number 1 again, unchanged.
For CaZn3Pd2, a crystal structure in Alexandria, relaxed with PBE gives the computed powder XRD pattern in this record (a wavelength of 1.5418 Å).
Kinematic intensities with the Lorentz-polarization factor, no thermal factor.

Atomic structure:
```
12
Lattice="4.725 -4.186 0.000 4.725 4.186 0.000 0.000 0.000 5.618" Properties=species:S:1:pos:R:3 pbc="T T T"
Ca 4.725 2.914 4.213
Ca 4.725 -2.914 1.404
Zn 3.053 2.239 1.404
Zn 6.397 2.239 1.404
Zn 4.725 0.268 1.404
Zn 4.725 -0.268 4.213
Zn 3.053 -2.239 4.213
Zn 6.397 -2.239 4.213
Pd 2.562 0.000 0.000
Pd 2.562 0.000 2.809
Pd 6.888 0.000 0.000
Pd 6.888 0.000 2.809
```

Top 10 peaks for 2θ from 15° to 90°, by angle:
18.8 deg, intensity 47
21.2 deg, intensity 25
34.4 deg, intensity 32
37.2 deg, intensity 29
38.1 deg, intensity 16
38.6 deg, intensity 42
43.3 deg, intensity 100
44.0 deg, intensity 24
47.5 deg, intensity 18
58.4 deg, intensity 18